Record 1
LuMn6Sn4Ge2: computed PXRD pattern (CuKα), based on the PBE geometry in the Materials Project.
Neutral-atom scattering factors, no anomalous dispersion.

Crystal structure
```
data_LuMn6Sn4Ge2
_symmetry_space_group_name_H-M 'P 6/m m m'
_symmetry_Int_Tables_number 191
_symmetry_space_group_name_Hall '-P 6 2'
_cell_length_a 5.3358
_cell_length_b 5.3358
_cell_length_c 8.6373
_cell_angle_alpha 90.00
_cell_angle_beta 90.00
_cell_angle_gamma 120.00
loop_
_atom_site_label
_atom_site_type_symbol
_atom_site_fract_x
_atom_site_fract_y
_atom_site_fract_z
_atom_site_occupancy
Lu1 Lu 0.0000 0.0000 0.0000 1
Mn1 Mn 0.0000 0.5000 0.2327 1
Sn1 Sn 0.0000 0.0000 0.3327 1
Sn2 Sn 0.3333 0.6667 0.5000 1
Ge1 Ge 0.3333 0.6667 0.0000 1
```

Main lines, by angle (15 to 90 degrees two-theta):
- (1 1 0), 2θ 33.59, rel. 100
- (1 0 3), 2θ 36.78, rel. 80
- (2 0 0), 2θ 38.98, rel. 42
- (1 1 2), 2θ 39.71, rel. 80
- (0 0 4), 2θ 41.83, rel. 21
- (2 0 2), 2θ 44.47, rel. 42
- (1 1 3), 2θ 46.41, rel. 31
- (2 1 3), 2θ 62.16, rel. 36
- (2 2 0), 2θ 70.61, rel. 31
- (1 1 6), 2θ 74.96, rel. 34

---

Record 2
PrMg2: computed PXRD pattern (CuKα), based on the PBE geometry in the Materials Project.
Neutral-atom scattering factors, no anomalous dispersion.

Crystal structure
abc: 8.716 8.716 8.716
angles: 90.00 90.00 90.00
Space group Fd-3m (No. 227, origin choice 2)
Inequivalent atoms, fractional coordinates:
Pr 0.125 0.125 0.125 x8
Mg 0.000 0.000 0.500 x16

Main lines, by angle (15 to 90 degrees two-theta):
- (1 1 1), 2θ 17.62, rel. 58
- (2 2 0), 2θ 28.97, rel. 97
- (3 1 1), 2θ 34.12, rel. 100
- (3 3 1), 2θ 45.35, rel. 16
- (4 2 2), 2θ 51.35, rel. 40
- (5 1 1), 2θ 54.72, rel. 34
- (4 4 0), 2θ 60.04, rel. 23
- (6 2 0), 2θ 68.02, rel. 17
- (6 4 2), 2θ 82.88, rel. 20
- (7 3 1), 2θ 85.59, rel. 21

---

Record 3
TiN2F5: computed PXRD pattern (CuKα), based on the PBE geometry in the Materials Project.
Neutral-atom scattering factors, no anomalous dispersion.

Crystal structure
```
data_TiN2F5
_symmetry_space_group_name_H-M 'P n m a'
_symmetry_Int_Tables_number 62
_cell_length_a 5.851
_cell_length_b 7.640
_cell_length_c 10.684
_cell_angle_alpha 90.00
_cell_angle_beta 90.00
_cell_angle_gamma 90.00
loop_
_symmetry_equiv_pos_as_xyz
'x,y,z'
'-x,-y,-z'
'-x+1/2,-y,z+1/2'
'x+1/2,y,-z+1/2'
'x+1/2,-y+1/2,-z+1/2'
'-x+1/2,y+1/2,z+1/2'
'-x,y+1/2,-z'
'x,-y+1/2,z'
loop_
_atom_site_label
_atom_site_type_symbol
_atom_site_fract_x
_atom_site_fract_y
_atom_site_fract_z
_atom_site_occupancy
Ti1 Ti 0.000 0.000 0.000 1
N1 N 0.020 0.250 0.355 1
N2 N 0.067 0.750 0.301 1
F1 F 0.081 0.250 0.991 1
F2 F 0.117 0.533 0.837 1
F3 F 0.213 0.047 0.566 1
```

Main lines, by angle (15 to 90 degrees two-theta):
- (0 0 2), 2θ 16.59, rel. 58
- (1 0 1), 2θ 17.28, rel. 100
- (0 2 0), 2θ 23.29, rel. 32
- (0 2 2), 2θ 28.73, rel. 18
- (1 2 1), 2θ 29.14, rel. 37
- (1 0 3), 2θ 29.36, rel. 23
- (1 0 4), 2θ 36.98, rel. 23
- (1 3 1), 2θ 39.50, rel. 13
- (2 2 1), 2θ 39.71, rel. 14
- (0 4 0), 2θ 47.61, rel. 16

---

Record 4
MgH6Br2: computed PXRD pattern (CuKα), based on the PBE geometry in the Materials Project.
Neutral-atom scattering factors, no anomalous dispersion.

Crystal structure
```
data_MgH6Br2
_symmetry_space_group_name_H-M 'C 1 2/m 1'
_symmetry_Int_Tables_number 12
_cell_length_a 6.528
_cell_length_b 6.226
_cell_length_c 7.290
_cell_angle_alpha 90.00
_cell_angle_beta 110.64
_cell_angle_gamma 90.00
loop_
_symmetry_equiv_pos_as_xyz
'x,y,z'
'-x,-y,-z'
'-x,y,-z'
'x,-y,z'
'x+1/2,y+1/2,z'
'-x+1/2,-y+1/2,-z'
'-x+1/2,y+1/2,-z'
'x+1/2,-y+1/2,z'
loop_
_atom_site_label
_atom_site_type_symbol
_atom_site_fract_x
_atom_site_fract_y
_atom_site_fract_z
_atom_site_occupancy
Mg1 Mg 0.000 0.000 0.000 1
H1 H 0.227 0.500 0.774 1
H2 H 0.238 0.337 0.785 1
Br1 Br 0.229 0.000 0.784 1
```

Main lines, by angle (15 to 90 degrees two-theta):
- (1 1 -1), 2θ 21.24, rel. 79
- (0 0 2), 2θ 26.12, rel. 29
- (1 1 1), 2θ 26.90, rel. 100
- (0 2 0), 2θ 28.67, rel. 46
- (2 0 0), 2θ 29.24, rel. 24
- (2 0 -2), 2θ 31.69, rel. 25
- (1 1 -3), 2θ 39.83, rel. 20
- (2 2 -2), 2θ 43.26, rel. 19
- (3 1 -1), 2θ 44.15, rel. 19
- (1 3 1), 2θ 49.70, rel. 29

---

Record 5
Rb2Be2O3: computed PXRD pattern (CuKα), based on the PBE geometry in the Materials Project.
Neutral-atom scattering factors, no anomalous dispersion.

Crystal structure
```
data_Rb2Be2O3
_symmetry_space_group_name_H-M 'P 1 21/c 1'
_symmetry_Int_Tables_number 14
_cell_length_a 4.978
_cell_length_b 8.816
_cell_length_c 6.588
_cell_angle_alpha 90.00
_cell_angle_beta 114.71
_cell_angle_gamma 90.00
loop_
_symmetry_equiv_pos_as_xyz
'x,y,z'
'-x,-y,-z'
'-x,y+1/2,-z+1/2'
'x,-y+1/2,z+1/2'
loop_
_atom_site_label
_atom_site_type_symbol
_atom_site_fract_x
_atom_site_fract_y
_atom_site_fract_z
_atom_site_occupancy
Rb1 Rb 0.220 0.152 0.428 1
Be1 Be 0.302 0.507 0.503 1
O1 O 0.000 0.000 0.000 1
O2 O 0.396 0.551 0.308 1
```

Main lines, by angle (15 to 90 degrees two-theta):
- (1 1 0), 2θ 22.09, rel. 100
- (0 2 1), 2θ 25.09, rel. 36
- (1 2 -1), 2θ 27.84, rel. 71
- (1 1 -2), 2θ 29.86, rel. 53
- (0 1 2), 2θ 31.58, rel. 25
- (0 3 1), 2θ 33.99, rel. 66
- (1 2 1), 2θ 35.83, rel. 37
- (2 1 -1), 2θ 37.58, rel. 27
- (1 1 -3), 2θ 42.43, rel. 18
- (1 0 2), 2θ 42.64, rel. 19

---

Record 6
EuBr2: computed PXRD pattern (CuKα), based on the PBE geometry in the Materials Project.
Neutral-atom scattering factors, no anomalous dispersion.

Crystal structure
```
data_EuBr2
_symmetry_space_group_name_H-M 'P 42/m n m'
_symmetry_Int_Tables_number 136
_symmetry_space_group_name_Hall '-P 4n 2n'
_cell_length_a 7.143
_cell_length_b 7.143
_cell_length_c 4.627
_cell_angle_alpha 90.00
_cell_angle_beta 90.00
_cell_angle_gamma 90.00
loop_
_atom_site_label
_atom_site_type_symbol
_atom_site_fract_x
_atom_site_fract_y
_atom_site_fract_z
_atom_site_occupancy
Eu1 Eu 0.000 0.000 0.000 1
Br1 Br 0.197 0.197 0.500 1
```

Main lines, by angle (15 to 90 degrees two-theta):
- (1 1 0), 2θ 17.56, rel. 97
- (1 0 1), 2θ 22.90, rel. 35
- (1 1 1), 2θ 26.12, rel. 58
- (2 1 0), 2θ 27.93, rel. 20
- (2 1 1), 2θ 34.11, rel. 100
- (2 2 0), 2θ 35.55, rel. 38
- (0 0 2), 2θ 38.93, rel. 23
- (3 0 1), 2θ 42.71, rel. 59
- (2 2 2), 2θ 53.73, rel. 23
- (5 2 1), 2θ 74.41, rel. 23